No. 1
BaLa3: theoretical X-ray diffraction stick pattern (λ = 1.5418 Å (Cu Kα)), based on a structure optimized by DFT (PBE).
Kinematic intensities with the Lorentz-polarization factor, no thermal factor.

Structural model:
Cell lengths 5.4642, 5.4642, 5.4642 Å; angles 90.00, 90.00, 90.00 degrees
Element x y z (fractional)
Ba (0.0000, 0.0000, 0.0000)
La (0.0000, 0.5000, 0.5000)
La (0.5000, 0.0000, 0.5000)
La (0.5000, 0.5000, 0.0000)

Peak list (6 most intense, 2θ = 10–90°, by angle)
two_theta  Rel. int.
28.29  100
32.78  51
47.04  37
55.80  44
75.90  18
78.24  16

=====

No. 2
LiTm2Au: theoretical X-ray diffraction stick pattern (λ = 1.5418 Å (Cu Kα)), based on a structure optimized by DFT (PBE).
Kinematic intensities with the Lorentz-polarization factor, no thermal factor.

Structural model:
Cell lengths 7.1210, 7.1210, 7.1210 Å; angles 90.00, 90.00, 90.00 degrees
Element x y z (fractional)
Li (0.0000, 0.0000, 0.0000)
Li (0.0000, 0.5000, 0.5000)
Li (0.5000, 0.0000, 0.5000)
Li (0.5000, 0.5000, 0.0000)
Tm (0.2500, 0.2500, 0.2500)
Tm (0.2500, 0.2500, 0.7500)
Tm (0.2500, 0.7500, 0.2500)
Tm (0.2500, 0.7500, 0.7500)
Tm (0.7500, 0.2500, 0.2500)
Tm (0.7500, 0.2500, 0.7500)
Tm (0.7500, 0.7500, 0.2500)
Tm (0.7500, 0.7500, 0.7500)
Au (0.0000, 0.0000, 0.5000)
Au (0.0000, 0.5000, 0.0000)
Au (0.5000, 0.0000, 0.0000)
Au (0.5000, 0.5000, 0.5000)

Peak list (6 most intense, 2θ = 10–90°, by angle)
two_theta  Rel. int.
21.62  30
35.66  100
42.08  16
51.32  18
64.06  37
86.42  17

=====

No. 3
SmGe2Ir2: theoretical X-ray diffraction stick pattern (λ = 1.5418 Å (Cu Kα)), based on a structure optimized by DFT (PBE).
Kinematic intensities with the Lorentz-polarization factor, no thermal factor.

Structural model:
Cell lengths 4.2536, 4.2536, 10.1900 Å; angles 90.00, 90.00, 90.00 degrees
Element x y z (fractional)
Sm (0.2500, 0.2500, 0.2431)
Sm (0.7500, 0.7500, 0.7569)
Ge (0.2500, 0.2500, 0.6315)
Ge (0.2500, 0.7500, 0.0000)
Ge (0.7500, 0.2500, 0.0000)
Ge (0.7500, 0.7500, 0.3685)
Ir (0.2500, 0.2500, 0.8713)
Ir (0.2500, 0.7500, 0.5000)
Ir (0.7500, 0.2500, 0.5000)
Ir (0.7500, 0.7500, 0.1287)

Peak list (6 most intense, 2θ = 10–90°, by angle)
two_theta  Rel. int.
31.00  29
33.77  59
34.63  100
42.50  71
46.73  34
55.35  29

=====

No. 4
ErAs: theoretical X-ray diffraction stick pattern (λ = 1.5418 Å (Cu Kα)), based on a structure optimized by DFT (PBE).
Kinematic intensities with the Lorentz-polarization factor, no thermal factor.

Structural model:
Cell lengths 5.7748, 5.7748, 5.7748 Å; angles 90.00, 90.00, 90.00 degrees
Element x y z (fractional)
Er (0.0000, 0.0000, 0.0000)
Er (0.0000, 0.5000, 0.5000)
Er (0.5000, 0.0000, 0.5000)
Er (0.5000, 0.5000, 0.0000)
As (0.0000, 0.0000, 0.5000)
As (0.0000, 0.5000, 0.0000)
As (0.5000, 0.0000, 0.0000)
As (0.5000, 0.5000, 0.5000)

Peak list (6 most intense, 2θ = 10–90°, by angle)
two_theta  Rel. int.
26.74  25
30.97  100
44.37  74
55.09  26
73.31  34
81.69  25

=====

No. 5
RbMnN2: theoretical X-ray diffraction stick pattern (λ = 1.5418 Å (Cu Kα)), based on a structure optimized by DFT (PBE).
Kinematic intensities with the Lorentz-polarization factor, no thermal factor.

Structural model:
Cell lengths 8.0453, 5.7046, 11.4117 Å; angles 90.00, 90.00, 90.00 degrees
Element x y z (fractional)
Rb (0.1250, 0.2449, 0.2500)
Rb (0.1250, 0.2551, 0.7500)
Rb (0.3750, 0.2500, 0.0000)
Rb (0.3750, 0.2500, 0.5000)
Rb (0.6250, 0.7500, 0.0000)
Rb (0.6250, 0.7500, 0.5000)
Rb (0.8750, 0.7449, 0.2500)
Rb (0.8750, 0.7551, 0.7500)
Mn (0.1251, 0.7500, 0.0000)
Mn (0.1251, 0.7500, 0.5000)
Mn (0.3750, 0.7467, 0.2500)
Mn (0.3750, 0.7533, 0.7500)
Mn (0.6250, 0.2467, 0.2500)
Mn (0.6250, 0.2533, 0.7500)
Mn (0.8749, 0.2500, 0.0000)
Mn (0.8749, 0.2500, 0.5000)
N (0.0000, 0.0000, 0.0000)
N (0.0000, 0.0000, 0.5000)
N (0.0000, 0.5000, 0.0000)
N (0.0000, 0.5000, 0.5000)
N (0.2501, 0.7492, 0.1250)
N (0.2501, 0.7492, 0.3750)
N (0.2501, 0.7508, 0.6250)
N (0.2501, 0.7508, 0.8750)
N (0.4979, 0.0054, 0.7500)
N (0.4979, 0.4946, 0.2500)
N (0.5021, 0.5054, 0.7500)
N (0.5021, 0.9946, 0.2500)
N (0.7499, 0.2492, 0.1250)
N (0.7499, 0.2492, 0.3750)
N (0.7499, 0.2508, 0.6250)
N (0.7499, 0.2508, 0.8750)

Peak list (6 most intense, 2θ = 10–90°, by angle)
two_theta  Rel. int.
31.39  100
36.99  8
44.94  8
55.88  36
65.54  10
74.37  10

=====

No. 6
Sr4CaCl10: theoretical X-ray diffraction stick pattern (λ = 1.5418 Å (Cu Kα)), based on a structure optimized by DFT (PBE).
Kinematic intensities with the Lorentz-polarization factor, no thermal factor.

Structural model:
Cell lengths 13.0745, 13.0745, 13.0745 Å; angles 158.19, 148.95, 38.27 degrees
Element x y z (fractional)
Sr (0.0989, 0.0989, 0.0000)
Sr (0.3006, 0.3006, 0.0000)
Sr (0.6994, 0.6994, 0.0000)
Sr (0.9011, 0.9011, 0.0000)
Ca (0.5000, 0.5000, 0.0000)
Cl (0.0497, 0.8002, 0.2495)
Cl (0.1565, 0.4024, 0.7541)
Cl (0.2590, 0.0000, 0.2590)
Cl (0.3518, 0.5976, 0.7541)
Cl (0.4493, 0.1998, 0.2495)
Cl (0.5507, 0.8002, 0.7505)
Cl (0.6482, 0.4024, 0.2459)
Cl (0.7410, 0.0000, 0.7410)
Cl (0.8435, 0.5976, 0.2459)
Cl (0.9503, 0.1998, 0.7505)

Peak list (6 most intense, 2θ = 10–90°, by angle)
two_theta  Rel. int.
22.01  68
36.33  100
42.88  35
52.32  16
57.43  14
65.36  32